# Ca2CoIrO6
Theoretical powder XRD pattern, Cu Kα X-rays. Input: DFT lattice parameters and positions (GGA+U).
Lines closer than 0.1° are merged.

Top 6 peaks for 10 to 80 degrees two-theta, low angle first:
d/Å, intensity, index
4.551, 34, 1 -1 1
4.439, 31, 1 1 -2
3.910, 52, 2 0 -1
2.746, 100, 0 2 -3
1.955, 27, 4 0 -2
1.573, 29, 4 2 -1

Structural model:
```
Ca2CoIrO6
1.0
7.8236 0.0000 0.0000
-0.2952 7.8204 0.0000
-3.7568 -3.9027 7.7157
Ca Co Ir O
8 4 4 24
Cartesian
0.0000 0.0000 0.0000 Ca
-0.0495 4.0146 0.0189 Ca
-0.6295 4.3762 3.8518 Ca
-0.3783 0.5926 3.8789 Ca
-0.0101 0.0030 7.7102 Ca
4.0104 0.1173 0.0081 Ca
3.4149 0.4640 3.8523 Ca
3.3895 4.4893 3.8614 Ca
-2.2164 2.2330 5.7912 Co
1.6877 2.2393 1.9343 Co
1.8332 -1.6662 5.8030 Co
5.4505 6.1512 1.9333 Co
-2.0796 -1.6660 5.7833 Ir
1.5394 6.1525 1.9294 Ir
1.6983 2.2530 5.8010 Ir
5.5969 2.2386 1.9289 Ir
-2.6852 4.2585 5.4307 O
-1.5806 -1.3952 3.9051 O
-0.3491 5.7570 1.5662 O
-0.3312 2.6320 2.2996 O
-2.5451 -1.9083 7.6786 O
-1.7588 0.2403 6.1581 O
1.7818 6.6660 0.0534 O
1.3599 0.1921 2.3418 O
-0.1962 2.6467 5.4069 O
-0.1966 -2.0569 6.1991 O
2.0120 4.2962 1.5352 O
1.3057 5.6773 3.8206 O
1.3632 0.3497 5.4251 O
2.1523 2.5044 3.9085 O
3.7045 1.8469 1.5679 O
3.4307 6.5482 2.2985 O
1.2017 1.9831 7.6724 O
2.0271 4.1534 6.1625 O
5.8354 2.7585 0.0501 O
5.1276 4.1156 2.3438 O
3.8708 -1.2674 5.3854 O
3.5851 1.8565 6.1804 O
6.0671 0.3731 1.5130 O
5.3603 1.7706 3.8190 O
```

# KNaCaCo5Si8O24
Theoretical powder XRD pattern, Cu Kα X-rays. Input: DFT lattice parameters and positions (GGA+U).
Lines closer than 0.1° are merged.

Top 6 peaks for 10 to 80 degrees two-theta, low angle first:
d/Å, intensity, index
8.676, 100, 0 1 -1
3.412, 29, 1 -2 2
3.233, 37, 0 3 -2
2.735, 45, -1 2 2
2.618, 35, 1 -1 3
2.557, 33, 2 0 -1

Structural model:
```
KNaCaCo5Si8O24
1.0
5.2917 0.0000 0.0000
-2.6248 9.8551 0.0000
-1.3340 -4.9222 9.1472
K Na Ca Co Si O
1 1 1 5 8 24
Cartesian
0.0000 0.0000 0.0000 K
2.7310 -0.1097 4.0944 Na
-1.2273 4.8183 4.9870 Ca
-1.2269 4.8237 1.5106 Co
0.0868 -0.1041 5.7565 Co
0.0834 -0.0993 9.0860 Co
1.4189 4.8233 3.2468 Co
2.7314 -0.1034 7.5896 Co
-2.0733 7.6333 3.0869 Si
-0.3794 2.0118 3.0913 Si
-0.7859 2.6049 7.5740 Si
0.9574 -2.8058 7.5708 Si
0.5683 7.5298 1.5171 Si
2.2714 2.1172 1.5193 Si
1.8736 2.6824 6.0128 Si
3.5893 -2.8873 6.0075 Si
-2.0756 5.9891 3.1214 O
-2.1643 3.2737 6.9856 O
-0.2917 -3.4626 6.7231 O
-1.5759 -1.0176 9.0202 O
-0.6201 1.2842 4.4851 O
-0.3791 3.6545 3.1233 O
-0.8062 0.9894 7.4883 O
0.7895 -1.5001 4.4862 O
-0.8404 8.1386 2.0623 O
1.0128 1.4590 2.3307 O
0.8062 -3.3408 9.1118 O
0.5929 5.9050 1.5526 O
0.9743 -1.1919 7.4819 O
-0.6200 3.1420 9.1114 O
0.4586 3.2591 6.7167 O
2.3372 -3.4775 6.9872 O
0.6980 6.1743 4.6366 O
2.2447 3.7401 1.5573 O
1.8761 1.0548 6.0692 O
2.1386 3.4675 4.6353 O
1.7441 0.8041 9.0217 O
3.6806 1.5055 2.0624 O
1.8228 8.1873 2.3356 O
3.5848 -1.2607 6.0649 O
```

# CaLa3Co2O8
Theoretical powder XRD pattern, Cu Kα X-rays. Input: DFT lattice parameters and positions (GGA+U).
Lines closer than 0.1° are merged.

Top 6 peaks for 10 to 80 degrees two-theta, low angle first:
d/Å, intensity, index
3.648, 20, 1 1 -1
2.844, 100, 1 1 3
2.690, 67, 2 0 0
2.063, 26, 2 0 -4
1.902, 35, 2 2 0
1.581, 35, 3 1 3

Structural model:
```
CaLa3Co2O8
1.0
5.3820 0.0000 0.0000
0.0000 5.3780 0.0000
-0.0023 0.0000 12.8514
Ca La Co O
2 6 4 16
Cartesian
0.0000 0.0000 0.0000 Ca
2.6868 0.0000 6.4139 Ca
0.0014 0.0000 3.6352 La
0.0018 2.6890 6.4602 La
0.0072 2.6890 10.1026 La
2.6896 0.0000 10.0692 La
2.6924 2.6890 0.0320 La
2.6995 2.6890 3.6671 La
0.0145 0.0000 8.2249 Co
0.0142 2.6890 1.7596 Co
2.7063 0.0000 1.7659 Co
2.7067 2.6890 8.1373 Co
0.0294 2.6890 4.1612 O
0.0410 0.0000 5.9543 O
0.0416 2.6890 12.3981 O
0.0465 0.0000 10.5561 O
1.3171 1.3158 8.2835 O
1.3171 4.0622 8.2835 O
1.3358 1.3741 1.8589 O
1.3358 4.0039 1.8589 O
2.7191 2.6890 10.5549 O
2.7284 0.0000 12.4163 O
2.7347 0.0000 4.0797 O
2.7313 2.6890 5.9834 O
4.0675 1.3791 1.8489 O
4.0675 3.9989 1.8489 O
4.0851 1.3074 8.2913 O
4.0851 4.0706 8.2913 O
```

# CaLa3Co2O8
Theoretical powder XRD pattern, Cu Kα X-rays. Input: DFT lattice parameters and positions (GGA+U).
Lines closer than 0.1° are merged.

Top 6 peaks for 10 to 80 degrees two-theta, low angle first:
d/Å, intensity, index
2.840, 100, 1 0 -2
2.706, 70, 1 2 2
2.118, 33, 3 0 0
2.060, 27, 3 2 2
1.914, 36, 1 4 0
1.588, 22, 0 4 2

Structural model:
```
CaLa3Co2O8
1.0
6.9085 0.0000 0.0000
2.1228 7.3518 0.0000
2.1217 -0.5946 7.3325
Ca La Co O
2 6 4 16
Cartesian
0.0000 0.0000 0.0000 Ca
2.1389 3.3868 3.6359 Ca
3.2355 7.0353 3.6641 La
3.2326 3.0486 7.3135 La
7.5242 5.7744 6.2945 La
5.4361 2.4236 2.6274 La
6.5042 2.1069 6.2578 La
6.5142 6.0738 2.6124 La
4.7639 4.5947 4.9828 Co
3.7099 0.9196 4.9763 Co
3.7203 4.8837 1.3162 Co
2.6848 1.1985 1.3030 Co
4.2878 6.6624 1.3186 O
4.3019 0.7351 6.7481 O
3.2707 1.0556 3.1658 O
4.3366 2.6714 4.9621 O
3.2927 3.0583 1.2797 O
5.4197 4.3964 6.8369 O
5.4263 6.4487 4.9614 O
4.3407 4.7190 3.0608 O
4.7336 0.5789 0.6558 O
6.8965 3.9517 4.2990 O
5.8879 0.2984 4.2799 O
5.8951 4.2640 0.6320 O
8.6159 1.4502 5.6127 O
9.6707 5.1579 5.5797 O
8.6191 5.4347 1.9257 O
7.5794 1.7827 1.9122 O
```

# CaLa2Co2Sb2Pb2O12
Theoretical powder XRD pattern, Cu Kα X-rays. Input: DFT lattice parameters and positions (GGA+U).
Lines closer than 0.1° are merged.

Top 6 peaks for 10 to 80 degrees two-theta, low angle first:
d/Å, intensity, index
4.677, 35, 1 0 -1
2.993, 52, 2 0 0
2.975, 45, 0 2 1
2.946, 77, -1 1 2
2.914, 100, 1 -1 2
2.782, 53, 1 1 3

Structural model:
```
CaLa2Co2Sb2Pb2O12
1.0
6.1555 0.0000 0.0000
1.2358 6.0609 0.0000
1.4634 1.3196 8.8572
Ca La Co Sb Pb O
1 2 2 2 2 12
Cartesian
0.0000 0.0000 0.0000 Ca
2.2107 1.2311 5.1725 La
4.9531 4.2485 1.7207 La
2.1104 4.1737 3.2724 Co
5.1607 1.3456 6.9490 Co
2.5069 4.4419 7.0738 Sb
4.9980 1.2094 3.2762 Sb
2.6529 1.6794 0.9980 Pb
5.6073 3.9455 5.3942 Pb
2.3025 4.8724 5.1251 O
3.7063 6.0365 7.1952 O
2.6265 3.9072 1.3973 O
3.8468 2.9448 6.8250 O
4.3784 6.4233 2.9033 O
3.9236 2.8983 3.7349 O
5.9180 6.6931 5.1642 O
6.7865 6.5811 8.6336 O
4.9587 1.8222 1.2946 O
6.8901 2.3602 6.6903 O
6.9939 5.5709 2.5687 O
6.6753 2.3051 3.6014 O
```

# CaLa2Co2Sb2Pb2O12
Theoretical powder XRD pattern, Cu Kα X-rays. Input: DFT lattice parameters and positions (GGA+U).
Lines closer than 0.1° are merged.

Top 6 peaks for 10 to 80 degrees two-theta, low angle first:
d/Å, intensity, index
2.977, 81, 0 2 1
2.902, 100, 2 0 0
2.889, 72, 1 1 -2
2.867, 87, 1 -1 2
2.825, 80, 1 1 3
2.658, 60, -1 1 3

Structural model:
```
CaLa2Co2Sb2Pb2O12
1.0
5.8246 0.0000 0.0000
0.4534 5.9703 0.0000
0.5541 2.3014 9.5044
Ca La Co Sb Pb O
1 2 2 2 2 12
Cartesian
0.0000 0.0000 0.0000 Ca
0.6181 2.7695 6.0256 La
3.4838 5.2023 2.3474 La
0.7259 5.5623 4.0800 Co
3.5581 2.7119 8.0842 Co
3.4991 2.3487 4.1384 Sb
6.4231 5.4010 8.0676 Sb
0.7223 2.8230 2.1007 Pb
3.3906 5.7193 6.2274 Pb
1.0599 5.0924 2.0774 O
1.9183 7.1290 7.6898 O
2.0507 4.0236 8.0193 O
1.8115 1.1710 4.3534 O
2.3588 3.9940 4.5746 O
3.0431 2.7196 2.2344 O
3.9478 2.1158 6.0844 O
3.9966 5.5214 0.2571 O
4.9292 6.6454 3.6610 O
5.2831 3.6331 7.9838 O
5.1727 3.5110 3.9054 O
6.2363 5.3393 6.0760 O
```

# CaLa2Co2Sb2Pb2O12
Theoretical powder XRD pattern, Cu Kα X-rays. Input: DFT lattice parameters and positions (GGA+U).
Lines closer than 0.1° are merged.

Top 6 peaks for 10 to 80 degrees two-theta, low angle first:
d/Å, intensity, index
3.878, 81, 1 1 2
3.069, 84, 0 2 0
2.904, 65, 2 0 0
2.844, 100, 1 1 -2
2.820, 76, 1 -1 2
2.781, 63, -1 1 2

Structural model:
```
CaLa2Co2Sb2Pb2O12
1.0
6.2727 0.0000 0.0000
2.2078 6.2394 0.0000
2.2614 1.5147 8.5160
Ca La Co Sb Pb O
1 2 2 2 2 12
Cartesian
0.0000 0.0000 0.0000 Ca
4.2996 3.0095 3.0560 La
8.5172 5.6629 6.9867 La
5.3703 5.9359 5.0977 Co
7.4635 3.0618 1.9569 Co
5.2315 5.9225 1.3015 Sb
7.8743 2.8747 5.3794 Sb
5.1451 3.7515 7.5808 Pb
8.6946 6.1619 3.2770 Pb
2.7013 3.2378 7.1161 O
2.8952 4.2324 4.6828 O
1.4360 1.1264 1.5898 O
2.7185 4.3284 1.7174 O
4.5518 5.8880 6.9440 O
2.9304 1.5666 4.6256 O
4.9975 5.3362 3.2027 O
6.6651 4.5380 5.9068 O
4.6325 0.8212 1.6360 O
6.0968 3.9526 0.8854 O
6.6978 1.7485 6.5394 O
6.6558 2.7197 3.7750 O
```